Structure and simulated X-ray powder pattern of Li2FeP2O7 (a crystal structure in the Materials Project, relaxed with PBE+U; Cu Ka).

Main lines, by intensity (2θ = 10–90°):
22.09 deg, d = 4.023 Å, I 100, (1 1 -1)
13.67 deg, d = 6.479 Å, I 47, (0 0 2)
34.94 deg, d = 2.568 Å, I 28, (-1 1 1)
30.52 deg, d = 2.929 Å, I 25, (1 0 3)
38.57 deg, d = 2.334 Å, I 13, (1 1 5)
27.54 deg, d = 3.239 Å, I 12, (0 0 4)
30.83 deg, d = 2.900 Å, I 9, (0 1 4)
42.30 deg, d = 2.137 Å, I 8, (2 0 -2)

a = 5.0410 Å, b = 5.1380 Å, c = 13.2290 Å
α = 79.83°, β = 89.90°, γ = 60.64°
Atoms (fractional coordinates):
Li 0.0801 0.2199 0.4076
Li 0.2969 0.7805 0.0921
Li 0.7031 0.2195 0.9079
Li 0.9199 0.7801 0.5924
Fe 0.0000 0.5000 0.0000
Fe 0.5000 0.5000 0.5000
P 0.2467 0.0888 0.6316
P 0.3385 0.9107 0.8685
P 0.6615 0.0893 0.1315
P 0.7533 0.9112 0.3684
O 0.0524 0.8408 0.4259
O 0.1116 0.8383 0.9270
O 0.1961 0.0003 0.7503
O 0.2853 0.3716 0.6188
O 0.3380 0.1868 0.8975
O 0.3402 0.3707 0.1199
O 0.4776 0.1869 0.3975
O 0.5224 0.8131 0.6025
O 0.6598 0.6293 0.8801
O 0.6620 0.8132 0.1025
O 0.7147 0.6284 0.3812
O 0.8039 0.9997 0.2497
O 0.8884 0.1617 0.0730
O 0.9476 0.1592 0.5741